[1]
Structure and theoretical PXRD pattern of Na2Cd2Sn (the GGA-PBE geometry in Alexandria; Cu Kα).

a = 5.8521 Å, b = 5.8521 Å, c = 10.4257 Å
α = 100.00°, β = 100.00°, γ = 49.84°
Positions (direct):
Na 0.1166 0.1166 0.4005
Na 0.1743 0.1743 0.0601
Na 0.8257 0.8257 0.9399
Na 0.8834 0.8834 0.5995
Cd 0.4067 0.4067 0.3826
Cd 0.4914 0.4914 0.8595
Cd 0.5086 0.5086 0.1405
Cd 0.5933 0.5933 0.6174
Sn 0.1989 0.1989 0.7474
Sn 0.8011 0.8011 0.2526

Principal peaks in the range 2θ = 10–80°, sorted by position:
d (Å), I (rel.)
4.458, 1000
2.839, 829
2.823, 995
2.632, 811
2.466, 846
2.142, 749

***

[2]
Structure and theoretical PXRD pattern of NaCdSn3 (the GGA-PBE geometry in Alexandria; Cu Kα).

a = 5.0373 Å, b = 5.0373 Å, c = 6.9515 Å
α = 109.44°, β = 109.44°, γ = 94.56°
Positions (direct):
Na 0.0000 0.0000 0.0000
Cd 0.3790 0.3790 0.7579
Sn 0.2499 0.7509 0.5010
Sn 0.6101 0.6101 0.2217
Sn 0.7509 0.2499 0.5010

Principal peaks in the range 2θ = 10–80°, sorted by position:
d (Å), I (rel.)
6.058, 614
4.639, 859
3.156, 816
2.511, 1000
2.344, 651
2.267, 591

***

[3]
Structure and theoretical PXRD pattern of NaCd6Sn (the GGA-PBE geometry in Alexandria; Cu Kα).

a = 5.0214 Å, b = 6.3401 Å, c = 6.3401 Å
α = 73.34°, β = 90.00°, γ = 90.00°
Positions (direct):
Na 0.0000 0.0000 0.0000
Cd 0.0000 0.0834 0.4872
Cd 0.0000 0.4872 0.0834
Cd 0.0000 0.5673 0.5673
Cd 0.5000 0.1946 0.1946
Cd 0.5000 0.2670 0.6922
Cd 0.5000 0.6922 0.2670
Sn 0.5000 0.7600 0.7600

Principal peaks in the range 2θ = 10–80°, sorted by position:
d (Å), I (rel.)
3.037, 158
2.634, 228
2.599, 1000
2.511, 341
2.268, 197
1.466, 162

***

[4]
Structure and theoretical PXRD pattern of Na7CdSn3 (the GGA-PBE geometry in Alexandria; Cu Kα).

a = 7.4825 Å, b = 7.4825 Å, c = 7.7462 Å
α = 90.00°, β = 90.00°, γ = 120.00°
Positions (direct):
Na 0.0000 0.0000 0.0000
Na 0.1665 0.3329 0.4992
Na 0.1665 0.8335 0.4992
Na 0.5067 0.0135 0.1028
Na 0.5067 0.4933 0.1028
Na 0.6671 0.8335 0.4992
Na 0.9865 0.4933 0.1028
Cd 0.6667 0.3333 0.4241
Sn 0.4021 0.2011 0.7655
Sn 0.7989 0.2011 0.7655
Sn 0.7989 0.5979 0.7655

Principal peaks in the range 2θ = 10–80°, sorted by position:
d (Å), I (rel.)
7.746, 544
6.480, 1000
4.970, 286
2.989, 868
2.485, 530
2.335, 343

***

[5]
Structure and theoretical PXRD pattern of Na2Cd5Sn4 (the GGA-PBE geometry in Alexandria; Cu Kα).

a = 10.8210 Å, b = 9.2674 Å, c = 7.0232 Å
α = 82.00°, β = 58.00°, γ = 40.00°
Positions (direct):
Na 0.1725 0.1725 0.8275
Na 0.8275 0.8275 0.1725
Cd 0.0000 0.0000 0.5000
Cd 0.2500 0.2500 0.2500
Cd 0.5000 0.5000 0.0000
Cd 0.5000 0.5000 0.5000
Cd 0.7500 0.7500 0.7500
Sn 0.2404 0.4768 0.5232
Sn 0.4768 0.2404 0.7596
Sn 0.5232 0.7596 0.2404
Sn 0.7596 0.5232 0.4768

Principal peaks in the range 2θ = 10–80°, sorted by position:
d (Å), I (rel.)
5.194, 1000
3.606, 340
2.978, 514
2.719, 446
2.570, 852
2.481, 509

***

[6]
Structure and theoretical PXRD pattern of Na4CdSn4 (the GGA-PBE geometry in Alexandria; Cu Kα).

a = 8.0768 Å, b = 8.0768 Å, c = 8.0768 Å
α = 144.47°, β = 108.41°, γ = 82.55°
Positions (direct):
Na 0.0945 0.9597 0.6388
Na 0.3210 0.4557 0.3612
Na 0.6790 0.0403 0.1348
Na 0.9055 0.5443 0.8652
Cd 0.5000 0.0000 0.5000
Sn 0.1553 0.1848 0.4739
Sn 0.2891 0.8152 0.9706
Sn 0.7109 0.6815 0.5261
Sn 0.8447 0.3185 0.0294

Principal peaks in the range 2θ = 10–80°, sorted by position:
d (Å), I (rel.)
6.070, 923
4.724, 444
3.546, 1000
2.493, 995
2.432, 436
2.056, 373

***

[7]
Structure and theoretical PXRD pattern of Na5Cd2Sn2 (the GGA-PBE geometry in Alexandria; Cu Kα).

a = 9.8987 Å, b = 9.2836 Å, c = 5.6828 Å
α = 78.80°, β = 66.92°, γ = 34.27°
Positions (direct):
Na 0.0000 0.0000 0.0000
Na 0.1525 0.1525 0.3475
Na 0.3475 0.3475 0.1525
Na 0.6525 0.6525 0.8475
Na 0.8475 0.8475 0.6525
Cd 0.3474 0.6526 0.3474
Cd 0.6526 0.3474 0.6526
Sn 0.2514 0.2514 0.7486
Sn 0.7486 0.7486 0.2514

Principal peaks in the range 2θ = 10–80°, sorted by position:
d (Å), I (rel.)
4.357, 1000
4.134, 679
3.198, 787
2.776, 434
2.580, 973
2.531, 969

***

[8]
Structure and theoretical PXRD pattern of NaCd6Sn2 (the GGA-PBE geometry in Alexandria; Cu Kα).

a = 8.7597 Å, b = 8.7597 Å, c = 3.5162 Å
α = 98.20°, β = 98.20°, γ = 59.68°
Positions (direct):
Na 0.0000 0.0000 0.0000
Cd 0.0020 0.3448 0.6730
Cd 0.3188 0.6812 0.5000
Cd 0.3448 0.0020 0.6730
Cd 0.6552 0.9980 0.3270
Cd 0.6812 0.3188 0.5000
Cd 0.9980 0.6552 0.3270
Sn 0.3525 0.3525 0.8764
Sn 0.6474 0.6474 0.1236

Principal peaks in the range 2θ = 10–80°, sorted by position:
d (Å), I (rel.)
7.529, 261
3.254, 264
2.714, 312
2.664, 226
2.512, 1000
2.498, 445

***

[9]
Structure and theoretical PXRD pattern of Na4Cd3Sn5 (the GGA-PBE geometry in Alexandria; Cu Kα).

a = 7.2525 Å, b = 7.2525 Å, c = 11.4290 Å
α = 114.34°, β = 114.34°, γ = 44.73°
Positions (direct):
Na 0.1228 0.1228 0.4861
Na 0.1478 0.1478 0.8327
Na 0.8522 0.8522 0.1673
Na 0.8772 0.8772 0.5139
Cd 0.2104 0.2104 0.2543
Cd 0.5000 0.5000 0.0000
Cd 0.7896 0.7896 0.7457
Sn 0.0000 0.0000 0.0000
Sn 0.3768 0.3768 0.7244
Sn 0.4486 0.4486 0.3597
Sn 0.5514 0.5514 0.6403
Sn 0.6232 0.6232 0.2756

Principal peaks in the range 2θ = 10–80°, sorted by position:
d (Å), I (rel.)
6.625, 710
5.204, 753
5.015, 595
3.312, 465
2.760, 1000
2.412, 552

***

[10]
Structure and theoretical PXRD pattern of Na5Cd2Sn (the GGA-PBE geometry in Alexandria; Cu Kα).

a = 5.4558 Å, b = 5.4558 Å, c = 19.8545 Å
α = 90.00°, β = 90.00°, γ = 120.00°
Positions (direct):
Na 0.0000 0.0000 0.1653
Na 0.0000 0.0000 0.3347
Na 0.0000 0.0000 0.6653
Na 0.0000 0.0000 0.8347
Na 0.3333 0.6667 0.0519
Na 0.3333 0.6667 0.2500
Na 0.3333 0.6667 0.4481
Na 0.6667 0.3333 0.5519
Na 0.6667 0.3333 0.7500
Na 0.6667 0.3333 0.9481
Cd 0.3333 0.6667 0.6073
Cd 0.3333 0.6667 0.8927
Cd 0.6667 0.3333 0.1073
Cd 0.6667 0.3333 0.3927
Sn 0.3333 0.6667 0.7500
Sn 0.6667 0.3333 0.2500

Principal peaks in the range 2θ = 10–80°, sorted by position:
d (Å), I (rel.)
4.725, 379
4.596, 1000
2.728, 806
2.710, 288
2.432, 515
1.511, 228

***

[11]
Structure and theoretical PXRD pattern of Na3CdSn4 (the GGA-PBE geometry in Alexandria; Cu Kα).

a = 10.9471 Å, b = 10.9471 Å, c = 10.9471 Å
α = 163.07°, β = 145.77°, γ = 38.42°
Positions (direct):
Na 0.0000 0.0000 0.0000
Na 0.2622 0.7622 0.5000
Na 0.7378 0.2378 0.5000
Cd 0.5000 0.5000 0.0000
Sn 0.1213 0.3778 0.7435
Sn 0.3657 0.6222 0.7435
Sn 0.6343 0.3778 0.2565
Sn 0.8787 0.6222 0.2565

Principal peaks in the range 2θ = 10–80°, sorted by position:
d (Å), I (rel.)
5.169, 460
3.184, 632
2.734, 1000
2.584, 418
2.163, 430
1.996, 358

***

[12]
Structure and theoretical PXRD pattern of Na2Cd5Sn3 (the GGA-PBE geometry in Alexandria; Cu Kα).

a = 9.7622 Å, b = 9.7622 Å, c = 9.7622 Å
α = 96.84°, β = 95.82°, γ = 141.21°
Positions (direct):
Na 0.2420 0.1247 0.3667
Na 0.2580 0.6247 0.8828
Na 0.7420 0.3753 0.1172
Na 0.7580 0.8753 0.6333
Cd 0.1466 0.3754 0.5220
Cd 0.2500 0.2500 0.0000
Cd 0.2500 0.5045 0.2545
Cd 0.2500 0.9955 0.7455
Cd 0.3534 0.8754 0.2288
Cd 0.6466 0.1246 0.7712
Cd 0.7500 0.0045 0.2545
Cd 0.7500 0.4955 0.7455
Cd 0.7500 0.7500 0.0000
Cd 0.8534 0.6246 0.4780
Sn 0.1396 0.8704 0.0100
Sn 0.2500 0.7500 0.5000
Sn 0.3604 0.3704 0.7308
Sn 0.6396 0.6296 0.2692
Sn 0.7500 0.2500 0.5000
Sn 0.8604 0.1296 0.9900

Principal peaks in the range 2θ = 10–80°, sorted by position:
d (Å), I (rel.)
6.543, 438
4.325, 720
2.904, 1000
2.302, 957
2.291, 648
2.273, 334

***

[13]
Structure and theoretical PXRD pattern of Na3Cd2Sn (the GGA-PBE geometry in Alexandria; Cu Kα).

a = 7.6127 Å, b = 7.6127 Å, c = 6.0464 Å
α = 92.07°, β = 92.07°, γ = 101.87°
Positions (direct):
Na 0.2332 0.7668 0.7500
Na 0.2841 0.3203 0.5143
Na 0.3203 0.2841 0.0143
Na 0.6797 0.7159 0.9857
Na 0.7159 0.6797 0.4857
Na 0.7668 0.2332 0.2500
Cd 0.0845 0.5865 0.2225
Cd 0.4135 0.9155 0.2775
Cd 0.5865 0.0845 0.7225
Cd 0.9155 0.4135 0.7775
Sn 0.0315 0.9685 0.2500
Sn 0.9685 0.0315 0.7500

Principal peaks in the range 2θ = 10–80°, sorted by position:
d (Å), I (rel.)
7.443, 1000
4.794, 702
2.955, 749
2.687, 667
2.331, 561
2.296, 560